[1]
Calculated PXRD pattern of CaLaAu for Cu Ka, from a PBE-relaxed structure.

Largest 10 diffraction maxima, by angle, 2θ from 15° to 90°:
2θ/deg, intensity
20.90, 51.9
21.21, 43.6
34.42, 25.2
34.67, 100.0
35.20, 24.4
40.76, 22.9
41.28, 20.0
50.05, 17.4
61.82, 26.4
62.82, 17.7

Crystal structure
a b c (Å): 7.291 7.291 8.941
angles (deg): 113.50 113.50 91.24
Positions (direct):
Ca  0.004  0.755  0.510
Ca  0.245  0.996  0.990
Ca  0.755  0.004  0.010
Ca  0.996  0.245  0.490
La  0.244  0.495  0.988
La  0.495  0.244  0.488
La  0.505  0.756  0.512
La  0.756  0.505  0.012
Au  0.134  0.866  0.250
Au  0.384  0.616  0.750
Au  0.616  0.384  0.250
Au  0.866  0.134  0.750

---

[2]
Calculated PXRD pattern of LiPr6Ag for Cu Ka, from a PBE-relaxed structure.

Largest 10 diffraction maxima, by angle, 2θ from 15° to 90°:
2θ/deg, intensity
25.74, 15.4
30.96, 100.0
33.86, 43.8
39.70, 9.1
45.52, 10.3
48.64, 15.7
53.15, 15.4
56.30, 9.5
58.78, 31.9
64.52, 8.5

Crystal structure
a b c (Å): 9.823 9.823 9.823
angles (deg): 148.73 148.73 44.81
Positions (direct):
Li  0.000  0.000  0.000
Pr  0.108  0.608  0.500
Pr  0.248  0.248  0.000
Pr  0.392  0.892  0.500
Pr  0.608  0.108  0.500
Pr  0.752  0.752  0.000
Pr  0.892  0.392  0.500
Ag  0.500  0.500  0.000

---

[3]
Calculated PXRD pattern of Ba3SmSn8 for Cu Ka, from a PBE-relaxed structure.

Largest 10 diffraction maxima, by angle, 2θ from 15° to 90°:
2θ/deg, intensity
21.55, 49.9
22.31, 36.9
26.10, 74.6
33.25, 30.4
34.10, 100.0
34.63, 20.5
37.19, 37.0
51.38, 20.8
53.68, 16.3
55.44, 22.8

Crystal structure
a b c (Å): 8.566 8.566 8.566
angles (deg): 111.39 111.39 105.69
Positions (direct):
Ba  0.000  0.000  0.000
Ba  0.250  0.750  0.500
Ba  0.750  0.250  0.500
Sm  0.500  0.500  0.000
Sn  0.130  0.130  0.691
Sn  0.203  0.650  0.000
Sn  0.350  0.350  0.552
Sn  0.439  0.439  0.309
Sn  0.561  0.870  0.000
Sn  0.650  0.203  0.000
Sn  0.797  0.797  0.448
Sn  0.870  0.561  0.000

---

[4]
Calculated PXRD pattern of La3Ti2N3O4 for Cu Ka, from a PBE-relaxed structure.

Largest 10 diffraction maxima, by angle, 2θ from 15° to 90°:
2θ/deg, intensity
22.92, 26.1
25.73, 14.4
31.24, 100.0
32.04, 66.1
41.54, 30.4
45.95, 35.9
53.81, 12.2
55.10, 12.3
56.61, 37.4
65.17, 11.9

Crystal structure
a b c (Å): 10.756 10.756 10.756
angles (deg): 158.84 158.84 30.11
Positions (direct):
La  0.000  0.000  0.000
La  0.182  0.182  0.000
La  0.818  0.818  0.000
Ti  0.407  0.407  0.000
Ti  0.593  0.593  0.000
N  0.099  0.599  0.500
N  0.401  0.901  0.500
N  0.500  0.500  0.000
O  0.295  0.295  0.000
O  0.605  0.105  0.500
O  0.705  0.705  0.000
O  0.895  0.395  0.500

---

[5]
Calculated PXRD pattern of PaVP3 for Cu Ka, from a PBE-relaxed structure.

Largest 10 diffraction maxima, by angle, 2θ from 15° to 90°:
2θ/deg, intensity
21.42, 80.4
24.04, 91.0
25.64, 69.5
26.40, 100.0
31.26, 64.1
31.90, 59.2
33.63, 93.4
40.85, 88.5
45.27, 47.2
52.73, 36.8

Crystal structure
a b c (Å): 7.118 5.723 9.884
angles (deg): 90.00 122.20 90.00
Positions (direct):
Pa  0.136  0.240  0.170
Pa  0.136  0.260  0.670
Pa  0.864  0.740  0.330
Pa  0.864  0.760  0.830
V  0.436  0.747  0.422
V  0.436  0.753  0.922
V  0.564  0.247  0.078
V  0.564  0.253  0.578
P  0.090  0.734  0.168
P  0.090  0.766  0.668
P  0.243  0.039  0.469
P  0.243  0.461  0.969
P  0.415  0.583  0.638
P  0.415  0.917  0.138
P  0.585  0.083  0.862
P  0.585  0.417  0.362
P  0.757  0.539  0.031
P  0.757  0.961  0.531
P  0.910  0.234  0.332
P  0.910  0.266  0.832

---

[6]
Calculated PXRD pattern of TlPbSeI for Cu Ka, from a PBE-relaxed structure.

Largest 10 diffraction maxima, by angle, 2θ from 15° to 90°:
2θ/deg, intensity
23.09, 25.6
23.91, 16.1
26.98, 32.8
29.09, 100.0
34.13, 18.7
40.05, 48.2
43.12, 24.1
50.26, 22.3
52.41, 12.8
66.12, 19.7

Crystal structure
a b c (Å): 8.693 8.693 8.693
angles (deg): 30.02 30.02 30.02
Positions (direct):
Tl  0.000  0.000  0.000
Pb  0.808  0.808  0.808
Se  0.413  0.413  0.413
I  0.231  0.231  0.231

---

[7]
Calculated PXRD pattern of Pm2ThCrN4 for Cu Ka, from a PBE-relaxed structure.

Largest 10 diffraction maxima, by angle, 2θ from 15° to 90°:
2θ/deg, intensity
26.96, 82.1
29.74, 35.7
30.51, 47.6
30.80, 100.0
35.47, 48.1
37.84, 55.9
43.13, 19.2
46.67, 29.4
49.36, 27.0
51.91, 28.0

Crystal structure
a b c (Å): 6.110 6.110 12.018
angles (deg): 90.00 90.00 147.13
Positions (direct):
Pm  0.132  0.868  0.546
Pm  0.132  0.868  0.954
Pm  0.868  0.132  0.046
Pm  0.868  0.132  0.454
Th  0.398  0.602  0.750
Th  0.602  0.398  0.250
Cr  0.337  0.663  0.250
Cr  0.663  0.337  0.750
N  0.065  0.935  0.750
N  0.225  0.775  0.137
N  0.225  0.775  0.363
N  0.500  0.500  0.000
N  0.500  0.500  0.500
N  0.775  0.225  0.637
N  0.775  0.225  0.863
N  0.935  0.065  0.250

---

[8]
Calculated PXRD pattern of Tb3Nd3Sm for Cu Ka, from a PBE-relaxed structure.

Largest 10 diffraction maxima, by angle, 2θ from 15° to 90°:
2θ/deg, intensity
28.05, 23.6
30.75, 24.8
32.07, 100.0
42.10, 15.8
49.65, 19.6
55.51, 21.2
59.54, 22.8
60.34, 16.4
81.82, 13.8
85.11, 8.4

Crystal structure
a b c (Å): 9.717 9.717 5.816
angles (deg): 90.00 90.00 120.00
Positions (direct):
Tb  0.096  0.478  0.250
Tb  0.383  0.904  0.250
Tb  0.478  0.383  0.750
Tb  0.522  0.617  0.250
Tb  0.617  0.096  0.750
Tb  0.904  0.522  0.750
Nd  0.050  0.241  0.750
Nd  0.191  0.950  0.750
Nd  0.241  0.191  0.250
Nd  0.759  0.809  0.750
Nd  0.809  0.050  0.250
Nd  0.950  0.759  0.250
Sm  0.333  0.667  0.750
Sm  0.667  0.333  0.250